This entry pairs a crystal structure of Sr5Li2Cl12 with its theoretical powder X-ray diffraction pattern. Radiation: Cu Kα, 1.54184 Å. Structure: the GGA-PBE geometry in Alexandria.

Main lines, sorted by position (10° ≤ 2θ ≤ 90°):
d/Å  Rel. int.
7.066  58
6.243  82
4.735  32
4.335  74
4.067  29
3.121  52
2.682  100
2.668  68
2.656  44
2.612  42
2.015  34
1.947  26

Cell and atoms:
```
Sr5Li2Cl12
1.0
7.6913 -4.0289 0.0000
7.6913 4.0289 0.0000
-4.0713 0.0000 9.4703
Sr Li Cl
5 2 12
direct
0.0000 0.0000 0.0000
0.2796 0.2796 0.5590
0.3000 0.3000 0.1334
0.7000 0.7000 0.8666
0.7204 0.7204 0.4410
0.3075 0.6925 0.5000
0.6925 0.3075 0.5000
0.0917 0.5685 0.3785
0.1001 0.6168 0.9857
0.1071 0.1071 0.3073
0.3832 0.8999 0.0143
0.4315 0.9083 0.6215
0.4885 0.4885 0.6751
0.5115 0.5115 0.3249
0.5685 0.0917 0.3785
0.6168 0.1001 0.9857
0.8929 0.8929 0.6927
0.8999 0.3832 0.0143
0.9083 0.4315 0.6215
```